Record 1
Theoretical powder XRD pattern
Compound: Te4MoW3Se2S2
Radiation: Cu Kα, 1.54184 Å
Structure: DFT lattice parameters and positions (PBE)
Neutral-atom scattering factors, no anomalous dispersion.

Atomic structure:
Cell: 3.4012 3.4012 38.7468 Å, 90.00 90.00 120.00°
Space group P3m1 (No. 156)
Unique sites:
Te: 0.0000 0.0000 0.0000 [1 per cell]
Te: 0.0000 0.0000 0.0971 [1 per cell]
Te: 0.3333 0.6667 0.4363 [1 per cell]
Te: 0.3333 0.6667 0.5336 [1 per cell]
Mo: 0.3333 0.6667 0.6728 [1 per cell]
W: 0.0000 0.0000 0.4849 [1 per cell]
W: 0.0000 0.0000 0.8607 [1 per cell]
W: 0.3333 0.6667 0.0486 [1 per cell]
Se: 0.3333 0.6667 0.8180 [1 per cell]
Se: 0.3333 0.6667 0.9033 [1 per cell]
S: 0.0000 0.0000 0.6341 [1 per cell]
S: 0.0000 0.0000 0.7116 [1 per cell]

Main lines, low angle first (2θ = 10–80°):
h k l, d_spacing, intensity
0 0 5, 7.749, 100
0 0 6, 6.458, 18
1 0 0, 2.944, 38
1 0 5, 2.753, 15
0 1 8, 2.517, 89
1 0 10, 2.345, 22
0 1 13, 2.095, 48
1 0 14, 2.017, 14
1 1 0, 1.700, 28
2 0 8, 1.409, 14

Record 2
Theoretical powder XRD pattern
Compound: Mg2IrAu
Radiation: Cu Kα, 1.54184 Å
Structure: DFT lattice parameters and positions (PBE)
Neutral-atom scattering factors, no anomalous dispersion.

Atomic structure:
Cell: 6.3989 6.3989 6.3989 Å, 90.00 90.00 90.00°
Space group Fm-3m (No. 225)
Unique sites:
Mg: 0.2500 0.2500 0.2500 [8 per cell]
Ir: 0.0000 0.0000 0.0000 [4 per cell]
Au: 0.0000 0.0000 0.5000 [4 per cell]

Main lines, low angle first (2θ = 10–80°):
h k l, d_spacing, intensity
2 0 0, 3.199, 74
2 2 0, 2.262, 100
2 2 2, 1.847, 22
4 0 0, 1.600, 17
4 2 0, 1.431, 28
4 2 2, 1.306, 35

Record 3
Theoretical powder XRD pattern
Compound: CrN2
Radiation: Cu Kα, 1.54184 Å
Structure: DFT lattice parameters and positions (PBE)
Neutral-atom scattering factors, no anomalous dispersion.

Atomic structure:
Cell: 9.4880 3.7138 3.8244 Å, 90.00 111.04 90.00°
Space group C2/m (No. 12)
Unique sites:
Cr: 0.1480 0.0000 0.4669 [4 per cell]
N: 0.1009 0.0000 0.8411 [4 per cell]
N: 0.1451 0.5000 0.3681 [4 per cell]

Main lines, low angle first (2θ = 10–80°):
h k l, d_spacing, intensity
0 0 1, 3.569, 100
2 0 -1, 3.449, 26
1 1 0, 3.425, 74
1 1 -1, 2.663, 20
3 1 0, 2.311, 40
4 0 0, 2.214, 38
2 0 -2, 1.910, 18
0 2 0, 1.857, 28
3 1 -2, 1.655, 21
0 2 1, 1.647, 18

Record 4
Theoretical powder XRD pattern
Compound: NdBeCu4
Radiation: Cu Kα, 1.54184 Å
Structure: DFT lattice parameters and positions (PBE)
Neutral-atom scattering factors, no anomalous dispersion.

Atomic structure:
Cell: 5.1605 5.1605 3.8544 Å, 90.00 90.00 120.00°
Space group P-6m2 (No. 187)
Unique sites:
Nd: 0.0000 0.0000 0.0000 [1 per cell]
Be: 0.3333 0.6667 0.0000 [1 per cell]
Cu: 0.0100 0.5050 0.5000 [3 per cell]
Cu: 0.6667 0.3333 0.0000 [1 per cell]

Main lines, low angle first (2θ = 10–80°):
h k l, d_spacing, intensity
1 0 0, 4.469, 14
1 0 1, 2.919, 100
1 1 0, 2.580, 23
2 0 0, 2.235, 68
1 1 1, 2.144, 99
0 0 2, 1.927, 26
2 1 1, 1.547, 27
2 0 2, 1.459, 33
3 0 1, 1.390, 24
2 2 0, 1.290, 19

Record 5
Theoretical powder XRD pattern
Compound: SrCd2Ge2
Radiation: Cu Kα, 1.54184 Å
Structure: DFT lattice parameters and positions (PBE)
Neutral-atom scattering factors, no anomalous dispersion.

Atomic structure:
Cell: 4.5783 4.5783 11.8475 Å, 90.00 90.00 90.00°
Space group I4/mmm (No. 139)
Unique sites:
Sr: 0.0000 0.0000 0.0000 [2 per cell]
Cd: 0.0000 0.5000 0.2500 [4 per cell]
Ge: 0.0000 0.0000 0.3919 [4 per cell]

Main lines, low angle first (2θ = 10–80°):
h k l, d_spacing, intensity
0 0 2, 5.924, 15
1 0 3, 2.990, 23
1 1 2, 2.841, 100
2 0 0, 2.289, 49
1 1 4, 2.185, 30
1 0 5, 2.104, 19
2 1 3, 1.818, 11
2 2 0, 1.619, 16
2 1 5, 1.549, 14
3 1 2, 1.406, 22

Record 6
Theoretical powder XRD pattern
Compound: Li2Hf2O5
Radiation: Cu Kα, 1.54184 Å
Structure: DFT lattice parameters and positions (PBE)
Neutral-atom scattering factors, no anomalous dispersion.

Atomic structure:
Cell: 9.1283 6.4916 7.5846 Å, 90.00 114.33 90.00°
Space group C2/c (No. 15)
Unique sites:
Li: 0.0148 0.1976 0.4592 [8 per cell]
Hf: 0.2481 0.4715 0.1184 [8 per cell]
O: 0.0000 0.0268 0.7500 [4 per cell]
O: 0.0000 0.5000 0.0000 [4 per cell]
O: 0.2230 0.1448 0.1314 [8 per cell]
O: 0.2500 0.2500 0.5000 [4 per cell]

Main lines, low angle first (2θ = 10–80°):
h k l, d_spacing, intensity
2 0 0, 4.159, 91
1 1 -2, 3.274, 100
0 2 0, 3.246, 42
1 1 2, 2.577, 36
3 1 -2, 2.569, 37
2 2 0, 2.559, 32
4 0 0, 2.079, 21
1 3 -2, 1.879, 23
5 1 -2, 1.752, 32
1 3 2, 1.713, 21

Record 7
Theoretical powder XRD pattern
Compound: Ba3ZrF10
Radiation: Cu Kα, 1.54184 Å
Structure: DFT lattice parameters and positions (PBE)
Neutral-atom scattering factors, no anomalous dispersion.

Atomic structure:
Cell: 11.1537 13.4964 6.1916 Å, 90.00 90.00 90.00°
Space group Cmcm (No. 63)
Unique sites:
Ba: 0.0000 0.1116 0.2500 [4 per cell]
Ba: 0.2146 0.3881 0.2500 [8 per cell]
Zr: 0.0000 0.3222 0.7500 [4 per cell]
F: 0.0000 0.3975 0.0419 [8 per cell]
F: 0.1168 0.2320 0.5408 [16 per cell]
F: 0.1382 0.0000 0.0000 [8 per cell]
F: 0.1611 0.4074 0.7500 [8 per cell]

Main lines, low angle first (2θ = 10–80°):
h k l, d_spacing, intensity
2 2 1, 3.531, 100
1 3 1, 3.460, 19
0 4 0, 3.374, 16
0 0 2, 3.096, 17
3 1 2, 2.343, 15
0 4 2, 2.281, 22
3 5 0, 2.184, 13
4 4 0, 2.149, 13
4 0 2, 2.072, 17
2 2 3, 1.860, 21

- What is the formula in the seventh record?
  Ba3ZrF10

Copy entry 1 word for word.
Theoretical powder XRD pattern
Compound: Te4MoW3Se2S2
Radiation: Cu Kα, 1.54184 Å
Structure: DFT lattice parameters and positions (PBE)
Neutral-atom scattering factors, no anomalous dispersion.

Atomic structure:
Cell: 3.4012 3.4012 38.7468 Å, 90.00 90.00 120.00°
Space group P3m1 (No. 156)
Unique sites:
Te: 0.0000 0.0000 0.0000 [1 per cell]
Te: 0.0000 0.0000 0.0971 [1 per cell]
Te: 0.3333 0.6667 0.4363 [1 per cell]
Te: 0.3333 0.6667 0.5336 [1 per cell]
Mo: 0.3333 0.6667 0.6728 [1 per cell]
W: 0.0000 0.0000 0.4849 [1 per cell]
W: 0.0000 0.0000 0.8607 [1 per cell]
W: 0.3333 0.6667 0.0486 [1 per cell]
Se: 0.3333 0.6667 0.8180 [1 per cell]
Se: 0.3333 0.6667 0.9033 [1 per cell]
S: 0.0000 0.0000 0.6341 [1 per cell]
S: 0.0000 0.0000 0.7116 [1 per cell]

Main lines, low angle first (2θ = 10–80°):
h k l, d_spacing, intensity
0 0 5, 7.749, 100
0 0 6, 6.458, 18
1 0 0, 2.944, 38
1 0 5, 2.753, 15
0 1 8, 2.517, 89
1 0 10, 2.345, 22
0 1 13, 2.095, 48
1 0 14, 2.017, 14
1 1 0, 1.700, 28
2 0 8, 1.409, 14